# Rb2YNbI6
Theoretical powder XRD pattern, λ = 1.5418 Å (Cu Kα). Input: a PBE-relaxed structure.
Lines closer than 0.1° are merged.

Cell and atoms:
a = 8.393 Å, b = 8.393 Å, c = 8.393 Å
α = 60.00°, β = 60.00°, γ = 60.00°
Sites, in units of the cell vectors:
Rb  0.250  0.250  0.250
Rb  0.750  0.750  0.750
Y  0.000  0.000  0.000
Nb  0.500  0.500  0.500
I  0.256  0.256  0.744
I  0.256  0.744  0.256
I  0.256  0.744  0.744
I  0.744  0.256  0.256
I  0.744  0.256  0.744
I  0.744  0.744  0.256

Main lines, most intense first (15° ≤ 2θ ≤ 90°):
| 2θ (°) | d_spacing | Rel. int. |
| --- | --- | --- |
| 30.1 | 2.967 | 100 |
| 26.0 | 3.426 | 86 |
| 43.1 | 2.098 | 73 |
| 51.0 | 1.789 | 39 |
| 71.0 | 1.327 | 32 |
| 53.5 | 1.713 | 26 |
| 79.0 | 1.211 | 24 |
| 33.8 | 2.654 | 16 |


# TbMoS2
Theoretical powder XRD pattern, λ = 1.5418 Å (Cu Kα). Input: a PBE-relaxed structure.
Lines closer than 0.1° are merged.

Cell and atoms:
a = 8.749 Å, b = 8.749 Å, c = 8.749 Å
α = 22.17°, β = 22.17°, γ = 22.17°
Sites, in units of the cell vectors:
Tb  0.000  0.000  0.000
Mo  0.500  0.500  0.500
S  0.107  0.107  0.107
S  0.893  0.893  0.893

Main lines, most intense first (15° ≤ 2θ ≤ 90°):
| 2θ (°) | d_spacing | Rel. int. |
| --- | --- | --- |
| 31.5 | 2.841 | 100 |
| 20.8 | 4.266 | 53 |
| 41.9 | 2.154 | 50 |
| 33.8 | 2.651 | 41 |
| 47.3 | 1.923 | 40 |
| 54.6 | 1.682 | 27 |
| 59.0 | 1.565 | 19 |
| 30.9 | 2.895 | 17 |


# Pr3Ga7Os2
Theoretical powder XRD pattern, λ = 1.5418 Å (Cu Kα). Input: a PBE-relaxed structure.
Lines closer than 0.1° are merged.

Cell and atoms:
a = 12.812 Å, b = 12.812 Å, c = 12.812 Å
α = 158.66°, β = 158.66°, γ = 30.36°
Sites, in units of the cell vectors:
Pr  0.000  0.000  0.000
Pr  0.182  0.182  0.000
Pr  0.818  0.818  0.000
Ga  0.093  0.593  0.500
Ga  0.301  0.301  0.000
Ga  0.407  0.907  0.500
Ga  0.500  0.500  0.000
Ga  0.593  0.093  0.500
Ga  0.699  0.699  0.000
Ga  0.907  0.407  0.500
Os  0.402  0.402  0.000
Os  0.598  0.598  0.000

Main lines, most intense first (15° ≤ 2θ ≤ 90°):
| 2θ (°) | d_spacing | Rel. int. |
| --- | --- | --- |
| 37.9 | 2.373 | 100 |
| 26.0 | 3.424 | 72 |
| 26.6 | 3.354 | 64 |
| 53.5 | 1.712 | 43 |
| 54.7 | 1.678 | 41 |
| 36.3 | 2.473 | 33 |
| 46.6 | 1.950 | 30 |
| 34.5 | 2.602 | 26 |


# Rb5DyTe4
Theoretical powder XRD pattern, λ = 1.5418 Å (Cu Kα). Input: a PBE-relaxed structure.
Lines closer than 0.1° are merged.

Cell and atoms:
a = 11.200 Å, b = 11.200 Å, c = 9.309 Å
α = 114.48°, β = 114.48°, γ = 26.15°
Sites, in units of the cell vectors:
Rb  0.000  0.000  0.000
Rb  0.327  0.327  0.070
Rb  0.327  0.327  0.583
Rb  0.673  0.673  0.417
Rb  0.673  0.673  0.930
Dy  0.000  0.000  0.500
Te  0.166  0.166  0.666
Te  0.500  0.500  0.282
Te  0.500  0.500  0.718
Te  0.834  0.834  0.334

Main lines, most intense first (15° ≤ 2θ ≤ 90°):
| 2θ (°) | d_spacing | Rel. int. |
| --- | --- | --- |
| 26.4 | 3.378 | 100 |
| 34.6 | 2.589 | 57 |
| 27.1 | 3.291 | 47 |
| 41.5 | 2.178 | 25 |
| 35.4 | 2.534 | 24 |
| 45.2 | 2.008 | 23 |
| 47.9 | 1.900 | 17 |
| 60.9 | 1.520 | 16 |


# ZrCu2H
Theoretical powder XRD pattern, λ = 1.5418 Å (Cu Kα). Input: a PBE-relaxed structure.
Lines closer than 0.1° are merged.

Cell and atoms:
a = 5.273 Å, b = 5.273 Å, c = 5.273 Å
α = 120.07°, β = 120.07°, γ = 89.87°
Sites, in units of the cell vectors:
Zr  0.375  0.625  0.750
Zr  0.625  0.375  0.250
Cu  0.000  0.000  0.000
Cu  0.000  0.000  0.500
Cu  0.000  0.500  0.000
Cu  0.500  0.000  0.500
H  0.125  0.875  0.250
H  0.875  0.125  0.750

Main lines, most intense first (15° ≤ 2θ ≤ 90°):
| 2θ (°) | d_spacing | Rel. int. |
| --- | --- | --- |
| 40.1 | 2.248 | 100 |
| 34.0 | 2.636 | 40 |
| 42.0 | 2.152 | 31 |
| 71.6 | 1.318 | 24 |
| 65.0 | 1.436 | 15 |
| 65.1 | 1.434 | 15 |
| 60.9 | 1.522 | 14 |
| 85.4 | 1.137 | 10 |


# CdNiAg
Theoretical powder XRD pattern, λ = 1.5418 Å (Cu Kα). Input: a PBE-relaxed structure.
Lines closer than 0.1° are merged.

Cell and atoms:
a = 5.064 Å, b = 5.064 Å, c = 5.064 Å
α = 145.98°, β = 137.26°, γ = 55.72°
Sites, in units of the cell vectors:
Cd  0.000  0.000  0.000
Ni  0.342  0.342  0.000
Ag  0.684  0.684  0.000

Main lines, most intense first (15° ≤ 2θ ≤ 90°):
| 2θ (°) | d_spacing | Rel. int. |
| --- | --- | --- |
| 39.0 | 2.310 | 100 |
| 38.8 | 2.321 | 99 |
| 43.0 | 2.103 | 73 |
| 67.5 | 1.387 | 36 |
| 76.3 | 1.249 | 25 |
| 49.4 | 1.845 | 25 |
| 75.9 | 1.254 | 24 |
| 26.1 | 3.412 | 12 |


# Mg2FeSeBr
Theoretical powder XRD pattern, λ = 1.5418 Å (Cu Kα). Input: a PBE-relaxed structure.
Lines closer than 0.1° are merged.

Cell and atoms:
a = 5.141 Å, b = 5.141 Å, c = 4.205 Å
α = 90.00°, β = 90.00°, γ = 90.00°
Sites, in units of the cell vectors:
Mg  0.000  0.500  0.000
Mg  0.500  0.000  0.000
Fe  0.000  0.000  0.000
Se  0.500  0.500  0.500
Br  0.000  0.000  0.500

Main lines, most intense first (15° ≤ 2θ ≤ 90°):
| 2θ (°) | d_spacing | Rel. int. |
| --- | --- | --- |
| 34.9 | 2.571 | 100 |
| 24.5 | 3.635 | 99 |
| 32.6 | 2.750 | 77 |
| 56.6 | 1.627 | 66 |
| 50.2 | 1.819 | 61 |
| 17.2 | 5.141 | 31 |
| 43.0 | 2.103 | 27 |
| 73.7 | 1.286 | 27 |